No. 1
The following is a theoretical powder X-ray diffraction pattern of CaC2N2O2. It was derived from a GGA-PBE-relaxed structure, using CuKα.

Crystal structure
```
CaC2N2O2
1.0
5.7929 3.3445 4.0629
-5.7929 3.3445 4.0629
0.0000 -6.6890 4.0629
Ca C N O
6 12 12 12
Direct
0.0264 0.3123 0.6613
0.1613 0.8123 0.5264
0.3123 0.6613 0.0264
0.5264 0.1613 0.8123
0.6613 0.0264 0.3123
0.8123 0.5264 0.1613
0.0423 0.9026 0.1307
0.1307 0.0423 0.9026
0.1538 0.3708 0.3287
0.3287 0.1538 0.3708
0.3708 0.3287 0.1539
0.4026 0.5423 0.6307
0.5423 0.6307 0.4026
0.6307 0.4026 0.5423
0.6538 0.8287 0.8708
0.8287 0.8708 0.6539
0.8708 0.6538 0.8287
0.9026 0.1307 0.0423
0.0083 0.1531 0.9177
0.1531 0.9177 0.0083
0.1939 0.2368 0.4182
0.2368 0.4182 0.1939
0.4182 0.1939 0.2368
0.4177 0.6531 0.5083
0.5083 0.4177 0.6531
0.6531 0.5083 0.4177
0.6939 0.9182 0.7368
0.7368 0.6939 0.9182
0.9177 0.0083 0.1531
0.9182 0.7368 0.6939
0.0318 0.4573 0.3824
0.0576 0.7752 0.2245
0.2245 0.0576 0.7752
0.2752 0.5576 0.7245
0.3824 0.0318 0.4573
0.4573 0.3824 0.0318
0.5318 0.8824 0.9573
0.5576 0.7245 0.2752
0.7245 0.2752 0.5576
0.7752 0.2245 0.0576
0.8824 0.9573 0.5318
0.9573 0.5318 0.8824
```

Most intense lines, 15° ≤ 2θ ≤ 90°, sorted by position:
d (Å), 2θ (°), intensity
3.345, 26.7, 46
3.326, 26.8, 51
2.916, 30.7, 100
2.896, 30.9, 25
2.358, 38.2, 47
2.190, 41.2, 22
2.031, 44.6, 11
1.928, 47.1, 58
1.874, 48.6, 11
1.736, 52.7, 18

***

No. 2
The following is a theoretical powder X-ray diffraction pattern of NaMg2H3S2O8. It was derived from a GGA-PBE-relaxed structure, using CuKα.

Crystal structure
```
NaMg2H3S2O8
1.0
6.3951 0.0000 0.0000
3.1976 7.2660 0.0000
3.1976 2.6887 7.9962
Na Mg H S O
2 4 6 4 16
Direct
0.0000 0.0000 0.0000
0.2578 0.6723 0.8120
0.1289 0.8361 0.4060
0.6190 0.6687 0.0933
0.6289 0.8361 0.4060
0.6389 0.0035 0.7187
0.3660 0.3901 0.6324
0.5190 0.5603 0.4017
0.6114 0.3901 0.6324
0.6464 0.2822 0.1796
0.7388 0.1120 0.4103
0.8918 0.2822 0.1796
0.1123 0.5771 0.1984
0.1456 0.0951 0.6137
0.4026 0.1261 0.0687
0.8552 0.5462 0.7434
0.0869 0.5945 0.6283
0.1709 0.0778 0.1837
0.2700 0.9263 0.5337
0.2985 0.0278 0.7384
0.3290 0.6270 0.0771
0.4853 0.6969 0.3324
0.5254 0.9664 0.9828
0.5325 0.3144 0.6206
0.5675 0.0778 0.1837
0.6903 0.5945 0.6283
0.7254 0.3579 0.1914
0.7324 0.7059 0.8293
0.7725 0.9754 0.4796
0.9352 0.0278 0.7384
0.9593 0.6445 0.0736
0.9878 0.7460 0.2783
```

Most intense lines, 15° ≤ 2θ ≤ 90°, sorted by position:
d (Å), 2θ (°), intensity
3.998, 22.2, 79
3.860, 23.0, 45
3.443, 25.9, 100
3.198, 27.9, 92
3.153, 28.3, 53
3.060, 29.2, 54
2.851, 31.4, 91
2.815, 31.8, 62
2.513, 35.7, 70
2.211, 40.8, 58

***

No. 3
The following is a theoretical powder X-ray diffraction pattern of Ca4Ni20H. It was derived from a GGA-PBE-relaxed structure, using CuKα.

Crystal structure
```
Ca4Ni20H
1.0
4.8856 -8.6078 0.0000
4.8856 8.6078 0.0000
0.0000 0.0000 3.8854
Ca Ni H
4 20 1
Direct
0.2463 0.7537 0.0000
0.2518 0.2518 0.9991
0.7482 0.7482 0.9991
0.7537 0.2463 0.0000
0.0000 0.0000 0.4998
0.0000 0.5000 0.5001
0.0011 0.2499 0.5001
0.0823 0.9177 0.0000
0.0848 0.4178 0.0002
0.2476 0.5024 0.4997
0.2499 0.0011 0.5001
0.4082 0.5918 0.0016
0.4178 0.0848 0.0002
0.4976 0.7524 0.4997
0.5000 0.0000 0.5001
0.5000 0.5000 0.4933
0.5024 0.2476 0.4997
0.5822 0.9152 0.0002
0.5918 0.4082 0.0016
0.7501 0.9989 0.5001
0.7524 0.4976 0.4997
0.9152 0.5822 0.0002
0.9177 0.0823 0.0000
0.9989 0.7501 0.5001
0.5000 0.5000 0.9205
```

Most intense lines, 15° ≤ 2θ ≤ 90°, sorted by position:
d (Å), 2θ (°), intensity
4.304, 20.6, 28
4.249, 20.9, 46
2.124, 42.6, 27
2.087, 43.4, 100
2.068, 43.8, 50
1.943, 46.8, 48
1.883, 48.3, 28
1.864, 48.9, 63
1.331, 70.8, 21
1.237, 77.1, 19

***

No. 4
The following is a theoretical powder X-ray diffraction pattern of Rb2Ni3Se2. It was derived from a GGA-PBE-relaxed structure, using CuKα.

Crystal structure
```
Rb2Ni3Se2
1.0
0.0000 5.6232 15.9472
5.4326 0.0000 15.9472
5.4326 5.6232 0.0000
Rb Ni Se
8 12 8
Direct
0.0891 0.7746 0.5296
0.1066 0.5296 0.7746
0.2254 0.9109 0.8934
0.4704 0.8934 0.9109
0.5296 0.1066 0.0891
0.7746 0.0891 0.1066
0.8934 0.4704 0.2254
0.9109 0.2254 0.4704
0.0000 0.5000 0.5000
0.2392 0.2512 0.6829
0.2512 0.2392 0.3267
0.3170 0.6733 0.7608
0.3267 0.6829 0.2512
0.5000 0.0000 0.5000
0.5000 0.5000 0.0000
0.5000 0.5000 0.5000
0.6733 0.3170 0.7488
0.6829 0.3267 0.2392
0.7488 0.7608 0.6733
0.7608 0.7488 0.3170
0.0546 0.5155 0.2138
0.2138 0.7161 0.0546
0.2839 0.7862 0.4845
0.4845 0.9454 0.2839
0.5155 0.0546 0.7161
0.7161 0.2138 0.5155
0.7862 0.2839 0.9454
0.9454 0.4845 0.7862
```

Most intense lines, 15° ≤ 2θ ≤ 90°, sorted by position:
d (Å), 2θ (°), intensity
4.941, 18.0, 63
3.936, 22.6, 41
3.907, 22.8, 100
3.098, 28.8, 28
2.791, 32.1, 42
2.774, 32.3, 44
2.750, 32.6, 46
2.245, 40.2, 40
1.940, 46.8, 28
1.898, 47.9, 31

***

No. 5
The following is a theoretical powder X-ray diffraction pattern of Ba3SbN. It was derived from a GGA-PBE-relaxed structure, using CuKα.

Crystal structure
```
Ba3SbN
1.0
5.5736 0.0000 0.0000
0.0000 5.5736 0.0000
0.0000 0.0000 5.5736
Ba Sb N
3 1 1
Direct
0.0000 0.0000 0.5000
0.0000 0.5000 0.0000
0.5000 0.0000 0.0000
0.5000 0.5000 0.5000
0.0000 0.0000 0.0000
```

Most intense lines, 15° ≤ 2θ ≤ 90°, sorted by position:
d (Å), 2θ (°), intensity
5.574, 15.9, 1
3.218, 27.7, 100
2.787, 32.1, 57
1.971, 46.1, 41
1.680, 54.6, 45
1.609, 57.3, 14
1.393, 67.2, 7
1.279, 74.2, 18
1.246, 76.4, 18
1.138, 85.3, 14

***

No. 6
The following is a theoretical powder X-ray diffraction pattern of K2SbF5. It was derived from a GGA-PBE-relaxed structure, using CuKα.

Crystal structure
```
K2SbF5
1.0
7.3643 0.0000 0.0000
0.0000 7.3081 0.0000
-5.6988 0.0000 11.6839
K Sb F
8 4 20
Direct
0.0019 0.2467 0.0926
0.0019 0.2533 0.5926
0.4393 0.2446 0.4388
0.4393 0.2554 0.9388
0.5607 0.7446 0.0612
0.5607 0.7554 0.5612
0.9981 0.7467 0.4074
0.9981 0.7533 0.9074
0.3138 0.7450 0.2460
0.3138 0.7550 0.7460
0.6862 0.2450 0.2540
0.6862 0.2550 0.7540
0.0174 0.7394 0.1883
0.0174 0.7606 0.6883
0.2390 0.5497 0.6159
0.2390 0.9503 0.1159
0.2487 0.5390 0.1168
0.2487 0.9610 0.6168
0.2909 0.5711 0.8662
0.2909 0.9289 0.3662
0.2981 0.5593 0.3672
0.2981 0.9407 0.8672
0.7019 0.0593 0.1328
0.7019 0.4407 0.6328
0.7091 0.0711 0.6338
0.7091 0.4289 0.1338
0.7513 0.0390 0.3832
0.7513 0.4610 0.8832
0.7610 0.0497 0.8841
0.7610 0.4503 0.3841
0.9826 0.2394 0.3117
0.9826 0.2606 0.8117
```

Most intense lines, 15° ≤ 2θ ≤ 90°, sorted by position:
d (Å), 2θ (°), intensity
5.841, 15.2, 39
4.906, 18.1, 100
4.556, 19.5, 31
3.650, 24.4, 78
3.268, 27.3, 99
2.970, 30.1, 52
2.451, 36.7, 20
2.282, 39.5, 21
2.027, 44.7, 28
1.949, 46.6, 40

***

No. 7
The following is a theoretical powder X-ray diffraction pattern of Zr7Pt10. It was derived from a GGA-PBE-relaxed structure, using CuKα.

Crystal structure
```
Zr7Pt10
1.0
6.6339 -4.8541 0.0000
6.6339 4.8541 0.0000
0.0000 0.0000 9.7412
Zr Pt
14 20
Direct
0.0000 0.0000 0.0000
0.0033 0.4967 0.2500
0.1822 0.8178 0.6833
0.1902 0.1902 0.5000
0.3098 0.3098 0.0000
0.3178 0.6822 0.1833
0.4967 0.0033 0.7500
0.5000 0.5000 0.5000
0.5033 0.9967 0.2500
0.6822 0.3178 0.8167
0.6902 0.6902 0.0000
0.8098 0.8098 0.5000
0.8178 0.1822 0.3167
0.9967 0.5033 0.7500
0.0633 0.6446 0.0001
0.1081 0.8919 0.3936
0.1446 0.5633 0.5001
0.1463 0.1462 0.2094
0.1462 0.1463 0.7906
0.3538 0.3537 0.2906
0.3537 0.3538 0.7094
0.3554 0.9367 0.0001
0.3919 0.6081 0.8936
0.4367 0.8554 0.5001
0.5633 0.1446 0.4999
0.6081 0.3919 0.1064
0.6446 0.0633 0.9999
0.6463 0.6462 0.2906
0.6462 0.6463 0.7094
0.8538 0.8537 0.2094
0.8537 0.8538 0.7906
0.8554 0.4367 0.4999
0.8919 0.1081 0.6064
0.9367 0.3554 0.9999
```

Most intense lines, 15° ≤ 2θ ≤ 90°, sorted by position:
d (Å), 2θ (°), intensity
3.720, 23.9, 17
3.438, 25.9, 32
2.525, 35.6, 59
2.435, 36.9, 18
2.427, 37.0, 17
2.387, 37.7, 100
2.259, 39.9, 27
2.211, 40.8, 24
2.035, 44.5, 27
1.719, 53.3, 19

***

> Number 1 is which compound?

CaC2N2O2